Starting from a cell relaxed with PBE, the PXRD pattern of LaTb4Sm2Dy was computed for copper Kα.
Intensities are scaled so that the largest is 100.

Peak list (8 most intense, 2θ from 5° to 70°, in order of rising 2θ)
2theta, I_rel, index
30.43, 100, 2 0 2
35.21, 34, 2 2 0
35.41, 17, 0 0 4
50.65, 12, 4 0 0
50.80, 24, 2 2 4
60.24, 29, 4 2 2
60.51, 14, 2 0 6
63.31, 12, 4 0 4

Cell and atoms:
```
LaTb4Sm2Dy
1.0
7.214 0.000 0.000
0.000 7.205 0.000
-0.009 0.000 10.139
La Tb Sm Dy
2 8 4 2
direct
0.000 0.000 0.000 La
0.500 0.001 0.000 La
0.251 0.252 0.252 Tb
0.251 0.252 0.748 Tb
0.251 0.749 0.252 Tb
0.251 0.749 0.748 Tb
0.749 0.252 0.252 Tb
0.749 0.252 0.748 Tb
0.749 0.749 0.252 Tb
0.749 0.749 0.748 Tb
0.000 0.001 0.500 Sm
0.000 0.500 0.000 Sm
0.000 0.501 0.500 Sm
0.500 0.500 0.500 Sm
0.500 0.000 0.500 Dy
0.500 0.501 0.000 Dy
```